This entry pairs a crystal structure of ErZnGa2Pt2 with its simulated X-ray diffraction stick pattern. Radiation: Cu Kα (weighted mean of Kα1 and Kα2). Structure: a DFT-relaxed cell (GGA-PBE, Alexandria).

Most intense lines, 2θ from 10° to 80°, by angle:
| (hkl) | 2θ (°) | I (rel.) |
| --- | --- | --- |
| 1 0 1 | 27.37 | 57.7 |
| 0 1 2 | 36.80 | 100.0 |
| 1 1 0 | 41.27 | 91.7 |
| 0 2 1 | 50.23 | 11.5 |
| 1 1 2 | 50.57 | 10.7 |
| 2 0 2 | 56.47 | 28.9 |
| 1 1 3 | 60.69 | 16.7 |
| 1 2 2 | 72.31 | 27.5 |
| 1 1 4 | 73.39 | 19.6 |
| 3 0 0 | 75.24 | 15.6 |

Atomic structure:
Lattice parameters (Å, degrees): 4.3749 4.3749 6.3900 90.00 90.00 120.00
Atoms (fractional coordinates):
Er: 0.0000 0.0000 0.0000
Zn: 0.0000 0.0000 0.5000
Ga: 0.3333 0.6667 0.2895
Ga: 0.6667 0.3333 0.7105
Pt: 0.3333 0.6667 0.7188
Pt: 0.6667 0.3333 0.2812